Record 1
For MnAuF5, DFT lattice parameters and positions (GGA+U) gives the simulated XRD peak list in this record (Cu Kα (weighted mean of Kα1 and Kα2)).
No peak broadening, texture or thermal motion is included.

Cell and atoms:
a b c (Å): 5.873 6.616 7.617
angles (deg): 108.72 90.11 114.46
Fractional positions:
Mn (0.000, 0.000, 0.000)
Mn (0.000, 0.000, 0.500)
Au (0.382, 0.749, 0.182)
Au (0.618, 0.251, 0.818)
F (0.050, 0.107, 0.279)
F (0.143, 0.750, 0.994)
F (0.145, 0.751, 0.368)
F (0.378, 0.249, 0.632)
F (0.378, 0.251, 0.005)
F (0.622, 0.749, 0.995)
F (0.622, 0.751, 0.368)
F (0.855, 0.249, 0.632)
F (0.857, 0.250, 0.006)
F (0.950, 0.893, 0.721)

Largest 12 diffraction maxima, most intense first, 2θ from 5° to 70°:
5.456 Å, intensity 100; 3.193 Å, intensity 74; 3.865 Å, intensity 46; 3.957 Å, intensity 45; 3.812 Å, intensity 40; 7.125 Å, intensity 38; 3.323 Å, intensity 33; 3.115 Å, intensity 32; 3.214 Å, intensity 30; 3.230 Å, intensity 28; 2.817 Å, intensity 24; 2.935 Å, intensity 21

Record 2
For Mn3AuF, DFT lattice parameters and positions (GGA+U) gives the simulated XRD peak list in this record (Cu Kα (weighted mean of Kα1 and Kα2)).
No peak broadening, texture or thermal motion is included.

Cell and atoms:
a b c (Å): 4.387 4.387 4.387
angles (deg): 90.00 90.00 90.00
Fractional positions:
Mn (0.000, 0.000, 0.500)
Mn (0.000, 0.500, 0.000)
Mn (0.500, 0.000, 0.000)
Au (0.500, 0.500, 0.500)
F (0.000, 0.000, 0.000)

Largest 9 diffraction maxima, most intense first, 2θ from 5° to 70°:
2.533 Å, intensity 100; 2.194 Å, intensity 61; 3.102 Å, intensity 56; 1.551 Å, intensity 39; 4.387 Å, intensity 34; 1.791 Å, intensity 24; 1.962 Å, intensity 19; 1.387 Å, intensity 10; 1.462 Å, intensity 10

Record 3
For MnRh2AuF, DFT lattice parameters and positions (GGA+U) gives the simulated XRD peak list in this record (Cu Kα (weighted mean of Kα1 and Kα2)).
No peak broadening, texture or thermal motion is included.

Cell and atoms:
a b c (Å): 4.136 4.136 4.919
angles (deg): 90.00 90.00 90.00
Fractional positions:
Mn (0.000, 0.000, 0.000)
Rh (0.000, 0.500, 0.500)
Rh (0.500, 0.000, 0.500)
Au (0.500, 0.500, 0.000)
F (0.500, 0.500, 0.500)

Largest 12 diffraction maxima, most intense first, 2θ from 5° to 70°:
2.514 Å, intensity 100; 2.068 Å, intensity 33; 1.583 Å, intensity 28; 2.459 Å, intensity 28; 4.136 Å, intensity 23; 1.430 Å, intensity 17; 3.166 Å, intensity 13; 1.462 Å, intensity 11; 2.114 Å, intensity 8; 1.731 Å, intensity 5; 1.850 Å, intensity 5; 1.478 Å, intensity 5

Record 4
For MnTl2AuF6, DFT lattice parameters and positions (GGA+U) gives the simulated XRD peak list in this record (Cu Kα (weighted mean of Kα1 and Kα2)).
No peak broadening, texture or thermal motion is included.

Cell and atoms:
a b c (Å): 6.344 6.344 6.344
angles (deg): 121.27 111.47 96.60
Fractional positions:
Mn (0.000, 0.000, 0.000)
Tl (0.243, 0.743, 0.500)
Tl (0.757, 0.257, 0.500)
Au (0.500, 0.500, 0.000)
F (0.185, 0.218, 0.403)
F (0.185, 0.782, 0.966)
F (0.257, 0.257, 0.000)
F (0.743, 0.743, 0.000)
F (0.815, 0.218, 0.034)
F (0.815, 0.782, 0.597)

Largest 12 diffraction maxima, most intense first, 2θ from 5° to 70°:
3.138 Å, intensity 100; 3.572 Å, intensity 37; 2.346 Å, intensity 33; 1.967 Å, intensity 26; 3.111 Å, intensity 25; 1.801 Å, intensity 20; 1.569 Å, intensity 19; 1.817 Å, intensity 13; 2.110 Å, intensity 13; 1.467 Å, intensity 12; 1.746 Å, intensity 9; 1.347 Å, intensity 8